Entry 1:
This entry pairs a crystal structure of AlNi3F15 with its calculated X-ray powder pattern. Radiation: Cu Kα X-rays. Structure: DFT lattice parameters and positions (GGA+U).
Lines closer than 0.1° are merged.

Main lines, low angle first (2θ = 10–90°):
2θ/deg	I_rel	hkl
14.63	59.1	1 0 0
16.46	37.9	0 2 0
22.09	100.0	1 2 0
31.36	8.0	1 0 -3
35.99	8.3	0 2 3
45.05	15.1	2 4 0
46.39	9.9	1 4 -3
51.89	8.3	1 4 3

Structural model:
a = 6.2725 Å, b = 10.7711 Å, c = 8.7480 Å
α = 90.00°, β = 105.07°, γ = 90.00°
Space group Pm (No. 6)
Asymmetric unit:
Al 0.0000 0.0000 0.0000 [1 per cell]
Al 0.1717 0.5000 0.5026 [1 per cell]
Ni 0.5742 0.2465 0.9170 [2 per cell]
Ni 0.5849 0.2509 0.2513 [2 per cell]
Ni 0.5973 0.2538 0.5862 [2 per cell]
F 0.0188 0.5000 0.0699 [1 per cell]
F 0.0338 0.5000 0.3070 [1 per cell]
F 0.1438 0.0000 0.1944 [1 per cell]
F 0.1467 0.0000 0.4278 [1 per cell]
F 0.1729 0.0000 0.8842 [1 per cell]
F 0.3250 0.3346 0.8854 [2 per cell]
F 0.3455 0.3447 0.1867 [2 per cell]
F 0.3463 0.3732 0.5451 [2 per cell]
F 0.4550 0.1696 0.3847 [2 per cell]
F 0.4626 0.1581 0.7167 [2 per cell]
F 0.4818 0.1478 0.0841 [2 per cell]
F 0.6879 0.3537 0.4193 [2 per cell]
F 0.7097 0.3419 0.7869 [2 per cell]
F 0.7147 0.3324 0.1180 [2 per cell]
F 0.8230 0.1569 0.3173 [2 per cell]
F 0.8245 0.1265 0.9609 [2 per cell]
F 0.8456 0.1647 0.6167 [2 per cell]
F 0.9951 0.5000 0.6155 [1 per cell]

---

Entry 2:
This entry pairs a crystal structure of AlWF5 with its calculated X-ray powder pattern. Radiation: Cu Kα X-rays. Structure: DFT lattice parameters and positions (GGA+U).
Lines closer than 0.1° are merged.

Main lines, low angle first (2θ = 10–90°):
2θ/deg	I_rel	hkl
17.56	63.5	0 1 1
22.53	55.6	0 0 2
25.99	23.0	1 0 1
27.10	100.0	0 2 0
35.52	41.8	0 2 2
37.93	45.4	1 2 1
50.50	23.5	1 2 3
54.20	27.4	0 2 4

Structural model:
a = 3.8066 Å, b = 6.5695 Å, c = 7.8935 Å
α = 90.00°, β = 90.00°, γ = 90.00°
Space group Immm (No. 71)
Asymmetric unit:
Al 0.0000 0.0000 0.0000 [2 per cell]
W 0.0000 0.0000 0.5000 [2 per cell]
F 0.0000 0.0000 0.2266 [4 per cell]
F 0.0000 0.2783 0.0000 [4 per cell]
F 0.0000 0.5000 0.5000 [2 per cell]

---

Entry 3:
This entry pairs a crystal structure of AlW3F15 with its calculated X-ray powder pattern. Radiation: Cu Kα X-rays. Structure: DFT lattice parameters and positions (GGA+U).
Lines closer than 0.1° are merged.

Main lines, low angle first (2θ = 10–90°):
2θ/deg	I_rel	hkl
14.85	100.0	1 0 0
17.68	54.7	0 2 0
23.16	71.5	1 2 0
27.10	22.9	0 0 3
27.58	24.2	1 0 -3
32.54	17.4	0 2 3
32.95	19.0	1 2 -3
39.78	14.6	2 2 -3

Structural model:
a = 6.1524 Å, b = 10.0402 Å, c = 10.1781 Å
α = 90.00°, β = 104.14°, γ = 90.00°
Space group P2_1/m (No. 11)
Asymmetric unit:
Al 0.0443 0.2500 0.2654 [2 per cell]
W 0.4804 0.5449 0.3335 [4 per cell]
W 0.5000 0.0000 0.0000 [2 per cell]
F 0.0954 0.7500 0.6157 [2 per cell]
F 0.0987 0.7500 0.8970 [2 per cell]
F 0.2163 0.1051 0.2887 [4 per cell]
F 0.2199 0.1156 0.6103 [4 per cell]
F 0.2378 0.1125 0.9493 [4 per cell]
F 0.3436 0.6023 0.1272 [4 per cell]
F 0.3929 0.5951 0.5180 [4 per cell]
F 0.3976 0.5773 0.8003 [4 per cell]
F 0.4002 0.7500 0.3262 [2 per cell]

---

Entry 4:
This entry pairs a crystal structure of Sr2AlGaFe2O7 with its calculated X-ray powder pattern. Radiation: Cu Kα X-rays. Structure: DFT lattice parameters and positions (GGA+U).
Lines closer than 0.1° are merged.

Main lines, low angle first (2θ = 10–90°):
2θ/deg	I_rel	hkl
27.58	48.6	3 1 1
31.05	46.1	0 2 0
32.50	49.9	2 0 -2
33.07	100.0	5 1 1
39.63	19.3	9 1 -1
40.70	27.5	10 0 0
45.57	40.2	2 2 -2
58.31	16.9	3 1 3

Structural model:
a = 22.8370 Å, b = 5.7602 Å, c = 5.5101 Å
α = 90.00°, β = 103.88°, γ = 90.00°
Space group Cc (No. 9)
Asymmetric unit:
Sr 0.0000 0.2162 0.0000 [4 per cell]
Sr 0.1983 0.2267 0.1994 [4 per cell]
Al 0.3513 0.2517 0.3414 [4 per cell]
Ga 0.0986 0.3276 0.6286 [4 per cell]
Fe 0.2906 0.2550 0.7846 [4 per cell]
Fe 0.4177 0.2388 0.9111 [4 per cell]
O 0.0213 0.2078 0.4964 [4 per cell]
O 0.0991 0.3891 0.9706 [4 per cell]
O 0.1735 0.1913 0.6422 [4 per cell]
O 0.2920 0.4141 0.1179 [4 per cell]
O 0.2974 0.0776 0.4660 [4 per cell]
O 0.4029 0.4133 0.5869 [4 per cell]
O 0.4088 0.0949 0.2298 [4 per cell]

---

Entry 5:
This entry pairs a crystal structure of Mn3Al4FeP4H16O28 with its calculated X-ray powder pattern. Radiation: Cu Kα X-rays. Structure: DFT lattice parameters and positions (GGA+U).
Lines closer than 0.1° are merged.

Main lines, low angle first (2θ = 10–90°):
2θ/deg	I_rel	hkl
13.57	23.6	0 0 2
16.60	17.9	0 2 0
24.91	16.9	1 1 -3
26.43	25.3	0 2 3
29.31	100.0	2 2 -1
43.46	18.9	2 4 -2
46.96	16.6	4 0 0
59.91	15.0	2 4 6

Structural model:
a = 7.7392 Å, b = 10.6776 Å, c = 13.0519 Å
α = 90.00°, β = 90.26°, γ = 90.00°
Space group C2 (No. 5)
Asymmetric unit:
Mn 0.0000 0.0000 0.0000 [2 per cell]
Mn 0.0000 0.2507 0.5000 [2 per cell]
Mn 0.0000 0.7353 0.5000 [2 per cell]
Al 0.0203 0.8893 0.2579 [4 per cell]
Al 0.0240 0.3641 0.2410 [4 per cell]
Fe 0.0000 0.5134 0.0000 [2 per cell]
P 0.2441 0.7573 0.0828 [4 per cell]
P 0.2455 0.4909 0.4182 [4 per cell]
H 0.0331 0.0937 0.8253 [4 per cell]
H 0.0357 0.6761 0.3161 [4 per cell]
H 0.0488 0.1651 0.6762 [4 per cell]
H 0.0488 0.5722 0.1773 [4 per cell]
H 0.2110 0.7322 0.8084 [4 per cell]
H 0.2447 0.0313 0.3279 [4 per cell]
H 0.2477 0.8357 0.8980 [4 per cell]
H 0.2488 0.4101 0.6039 [4 per cell]
O 0.0058 0.2453 0.3404 [4 per cell]
O 0.0083 0.4960 0.8466 [4 per cell]
O 0.0130 0.0099 0.1600 [4 per cell]
O 0.0167 0.7532 0.6587 [4 per cell]
O 0.0828 0.9912 0.6427 [4 per cell]
O 0.0863 0.2595 0.8530 [4 per cell]
O 0.0918 0.7721 0.1588 [4 per cell]
O 0.0960 0.4809 0.3390 [4 per cell]
O 0.2325 0.6136 0.4795 [4 per cell]
O 0.2328 0.6315 0.0258 [4 per cell]
O 0.2392 0.3762 0.4935 [4 per cell]
O 0.2410 0.8690 0.0044 [4 per cell]
O 0.2419 0.9400 0.3192 [4 per cell]
O 0.2488 0.3185 0.1834 [4 per cell]

---

Entry 6:
This entry pairs a crystal structure of Li2Al2FeO6 with its calculated X-ray powder pattern. Radiation: Cu Kα X-rays. Structure: DFT lattice parameters and positions (GGA+U).
Lines closer than 0.1° are merged.

Main lines, low angle first (2θ = 10–90°):
2θ/deg	I_rel	hkl
18.07	100.0	0 0 4
36.36	9.0	2 0 -2
37.05	14.8	1 3 1
43.47	24.3	2 0 -6
44.39	45.0	1 3 5
57.84	10.5	1 3 9
62.82	11.7	1 3 -11
64.93	12.5	3 3 -1

Structural model:
a = 5.0009 Å, b = 8.4911 Å, c = 19.7272 Å
α = 90.00°, β = 95.65°, γ = 90.00°
Space group C2 (No. 5)
Asymmetric unit:
Li 0.1187 0.0000 0.3757 [4 per cell]
Li 0.1251 0.1552 0.8750 [4 per cell]
Li 0.1255 0.5054 0.8750 [4 per cell]
Li 0.1392 0.6554 0.3752 [4 per cell]
Al 0.0000 0.3146 0.0000 [2 per cell]
Al 0.0000 0.4837 0.5000 [2 per cell]
Al 0.0000 0.8197 0.5000 [2 per cell]
Al 0.0000 0.9867 0.0000 [2 per cell]
Al 0.2502 0.3146 0.7500 [4 per cell]
Al 0.2502 0.4865 0.2500 [4 per cell]
Fe 0.0000 0.1545 0.5000 [2 per cell]
Fe 0.0000 0.6545 0.0000 [2 per cell]
Fe 0.2505 0.1543 0.2505 [4 per cell]
O 0.0575 0.8215 0.7000 [4 per cell]
O 0.0584 0.3212 0.2006 [4 per cell]
O 0.0734 0.4891 0.6977 [4 per cell]
O 0.0739 0.9886 0.1982 [4 per cell]
O 0.0847 0.1475 0.6957 [4 per cell]
O 0.0850 0.6476 0.1960 [4 per cell]
O 0.1648 0.1477 0.0541 [4 per cell]
O 0.1766 0.4889 0.0521 [4 per cell]
O 0.1821 0.9901 0.5522 [4 per cell]
O 0.1857 0.6490 0.5510 [4 per cell]
O 0.1922 0.8215 0.0498 [4 per cell]
O 0.1952 0.3218 0.5504 [4 per cell]